Diffraction record for HgH10C2S2O8. The XRD peak list is calculated, not measured: it uses a cell relaxed with GGA-PBE and copper Kα.
Kinematic intensities with the Lorentz-polarization factor, no thermal factor.

Most intense lines, 2θ = 10–80°, in order of falling intensity:
2θ (°)  intensity  h k l
10.6  100.0  0 0 1
17.4  57.5  0 1 1
13.9  39.4  0 1 0
26.5  27.1  1 -1 1
24.7  24.5  1 1 -1
20.6  24.4  1 0 1
24.9  16.1  1 -1 0
31.6  14.8  1 1 -2
25.7  13.8  0 1 -2
29.6  12.8  1 0 -2

Structural model:
Lattice parameters (Å, degrees): 4.8730 6.4599 8.3477 88.77 85.12 81.15
Space group P-1 (No. 2)
One atom of each set of equivalent atoms:
Hg 0.0000 0.0000 0.0000 [1 per cell]
H 0.0004 0.3687 0.1824 [2 per cell]
H 0.1765 0.9351 0.3815 [2 per cell]
H 0.1830 0.6570 0.4071 [2 per cell]
H 0.3045 0.2977 0.0879 [2 per cell]
H 0.4135 0.7880 0.5125 [2 per cell]
C 0.3071 0.7849 0.4023 [2 per cell]
S 0.4376 0.2601 0.7622 [2 per cell]
O 0.1493 0.2474 0.1539 [2 per cell]
O 0.2595 0.4588 0.7299 [2 per cell]
O 0.2858 0.0764 0.7657 [2 per cell]
O 0.4151 0.7297 0.0894 [2 per cell]

***

Diffraction record for PmZnCuNi2. The XRD peak list is calculated, not measured: it uses a cell relaxed with GGA-PBE and copper Kα.
Kinematic intensities with the Lorentz-polarization factor, no thermal factor.

Most intense lines, 2θ = 10–80°, in order of falling intensity:
2θ (°)  intensity  h k l
36.8  100.0  1 1 2
34.0  32.1  1 0 3
33.8  28.7  0 1 3
46.7  23.3  0 2 0
47.4  22.3  2 0 0
47.9  19.8  0 1 5
48.1  16.5  1 0 5
32.8  15.2  1 1 0
68.7  13.8  2 2 0
59.0  12.7  1 2 3

Structural model:
Lattice parameters (Å, degrees): 3.8367 3.8889 10.8799 90.00 90.00 90.00
Space group Imm2 (No. 44)
One atom of each set of equivalent atoms:
Pm 0.0000 0.0000 0.0000 [2 per cell]
Zn 0.0000 0.5000 0.7589 [2 per cell]
Cu 0.0000 0.0000 0.6203 [2 per cell]
Ni 0.0000 0.0000 0.3987 [2 per cell]
Ni 0.0000 0.5000 0.2654 [2 per cell]

***

Diffraction record for LiDy2USe6. The XRD peak list is calculated, not measured: it uses a cell relaxed with GGA-PBE and copper Kα.
Kinematic intensities with the Lorentz-polarization factor, no thermal factor.

Most intense lines, 2θ = 10–80°, in order of falling intensity:
2θ (°)  intensity  h k l
37.8  100.0  1 1 6
28.8  85.9  2 -1 3
44.2  61.3  3 0 0
15.1  45.6  1 0 1
17.1  45.2  0 1 2
23.5  41.5  1 0 4
34.7  29.3  0 2 4
25.1  28.1  1 1 0
43.3  25.2  3 -1 4
59.6  24.9  4 -2 6

Structural model:
Lattice parameters (Å, degrees): 7.0941 7.0941 19.2205 90.00 90.00 120.00
Space group R3 (No. 146, hexagonal axes)
One atom of each set of equivalent atoms:
Li 0.0000 0.0000 0.0000 [3 per cell]
Dy 0.0000 0.0000 0.2956 [3 per cell]
Dy 0.0000 0.0000 0.8041 [3 per cell]
U 0.0000 0.0000 0.4893 [3 per cell]
Se 0.0317 0.6701 0.0657 [9 per cell]
Se 0.0361 0.3427 0.5675 [9 per cell]

***

Diffraction record for Ho3ErPt2. The XRD peak list is calculated, not measured: it uses a cell relaxed with GGA-PBE and copper Kα.
Kinematic intensities with the Lorentz-polarization factor, no thermal factor.

Most intense lines, 2θ = 10–80°, in order of falling intensity:
2θ (°)  intensity  h k l
33.1  100.0  1 1 2
30.5  68.7  1 2 1
36.1  57.4  1 3 0
37.9  55.0  2 0 0
31.4  27.0  1 0 2
44.4  26.6  1 3 2
43.9  22.2  1 1 3
43.4  20.2  0 2 3
32.4  19.1  0 2 2
69.6  19.1  0 6 2

Structural model:
Lattice parameters (Å, degrees): 4.7490 8.7580 7.1169 90.00 90.00 90.00
Space group Pmc2_1 (No. 26)
One atom of each set of equivalent atoms:
Ho 0.0000 0.0832 0.0000 [2 per cell]
Ho 0.0000 0.3311 0.3654 [2 per cell]
Ho 0.5000 0.1696 0.6533 [2 per cell]
Er 0.5000 0.4168 0.0187 [2 per cell]
Pt 0.0000 0.3439 0.7688 [2 per cell]
Pt 0.5000 0.1569 0.2501 [2 per cell]

***

Diffraction record for Y4Ho3Pu. The XRD peak list is calculated, not measured: it uses a cell relaxed with GGA-PBE and copper Kα.
Kinematic intensities with the Lorentz-polarization factor, no thermal factor.

Most intense lines, 2θ = 10–80°, in order of falling intensity:
2θ (°)  intensity  h k l
30.6  100.0  1 1 2
32.0  98.0  0 2 4
37.9  57.0  1 3 2
31.0  55.6  0 4 0
15.4  30.0  0 2 0
63.7  27.1  2 2 4
49.7  26.3  1 5 2
51.2  22.3  1 1 6
37.1  21.8  1 2 3
55.8  20.4  0 6 4

Structural model:
Lattice parameters (Å, degrees): 3.4262 11.5435 12.7659 90.00 90.00 90.00
Space group Immm (No. 71)
One atom of each set of equivalent atoms:
Y 0.0000 0.2484 0.1314 [8 per cell]
Ho 0.0000 0.0000 0.5000 [2 per cell]
Ho 0.0000 0.5000 0.2625 [4 per cell]
Pu 0.0000 0.0000 0.0000 [2 per cell]

***

Diffraction record for Mg2AsIr. The XRD peak list is calculated, not measured: it uses a cell relaxed with GGA-PBE and copper Kα.
Kinematic intensities with the Lorentz-polarization factor, no thermal factor.

Most intense lines, 2θ = 10–80°, in order of falling intensity:
2θ (°)  intensity  h k l
21.6  100.0  0 1 1
39.4  84.5  1 1 2
16.1  48.6  0 0 2
38.4  35.2  1 0 3
49.0  24.3  1 1 4
40.6  23.1  0 2 0
57.1  22.3  1 2 3
45.9  21.5  0 1 5
32.4  21.0  0 0 4
30.4  16.9  1 0 1

Structural model:
Lattice parameters (Å, degrees): 3.0457 4.4441 11.0411 90.00 90.00 90.00
Space group Imm2 (No. 44)
One atom of each set of equivalent atoms:
Mg 0.0000 0.0000 0.0000 [2 per cell]
Mg 0.0000 0.5000 0.1929 [2 per cell]
As 0.0000 0.5000 0.7972 [2 per cell]
Ir 0.0000 0.0000 0.4767 [2 per cell]

***

Diffraction record for Er4Zn5Si6. The XRD peak list is calculated, not measured: it uses a cell relaxed with GGA-PBE and copper Kα.
Kinematic intensities with the Lorentz-polarization factor, no thermal factor.

Most intense lines, 2θ = 10–80°, in order of falling intensity:
2θ (°)  intensity  h k l
37.4  100.0  1 5 3
28.3  71.0  1 1 3
43.5  49.1  2 0 0
33.3  40.0  1 5 1
21.9  38.0  1 1 0
32.5  37.5  1 1 4
35.4  33.9  1 3 4
35.8  30.2  0 0 6
29.5  30.0  0 6 0
32.7  27.8  1 5 0

Structural model:
Lattice parameters (Å, degrees): 4.1569 18.1823 15.0291 90.00 90.00 90.00
Space group Cmc2_1 (No. 36)
One atom of each set of equivalent atoms:
Er 0.0000 0.0180 0.0000 [4 per cell]
Er 0.0000 0.0330 0.2631 [4 per cell]
Er 0.0000 0.1671 0.8043 [4 per cell]
Er 0.0000 0.1756 0.4447 [4 per cell]
Zn 0.0000 0.1508 0.1266 [4 per cell]
Zn 0.0000 0.3008 0.1236 [4 per cell]
Zn 0.0000 0.3437 0.7752 [4 per cell]
Zn 0.0000 0.3504 0.4782 [4 per cell]
Zn 0.0000 0.4358 0.1848 [4 per cell]
Si 0.0000 0.1126 0.6183 [4 per cell]
Si 0.0000 0.2215 0.9871 [4 per cell]
Si 0.0000 0.2271 0.2638 [4 per cell]
Si 0.0000 0.4320 0.6297 [4 per cell]
Si 0.0000 0.4328 0.9047 [4 per cell]
Si 0.0000 0.4432 0.3548 [4 per cell]

***

Diffraction record for Tl2In9Ga4. The XRD peak list is calculated, not measured: it uses a cell relaxed with GGA-PBE and copper Kα.
Kinematic intensities with the Lorentz-polarization factor, no thermal factor.

Most intense lines, 2θ = 10–80°, in order of falling intensity:
2θ (°)  intensity  h k l
37.4  100.0  1 1 0
30.7  94.7  0 1 5
34.0  62.4  1 0 6
63.3  37.5  1 2 5
49.1  31.1  2 0 5
21.8  29.6  0 1 1
51.4  19.0  0 2 6
65.3  18.3  2 1 6
67.5  17.8  3 0 0
27.6  15.0  1 0 4

Structural model:
Lattice parameters (Å, degrees): 4.8097 4.8097 20.4055 90.00 90.00 120.00
Space group P-3m1 (No. 164)
One atom of each set of equivalent atoms:
Tl 0.3333 0.6667 0.2662 [2 per cell]
In 0.0000 0.0000 0.0000 [1 per cell]
In 0.0000 0.0000 0.1778 [2 per cell]
In 0.0000 0.0000 0.3556 [2 per cell]
In 0.3333 0.6667 0.0754 [2 per cell]
In 0.3333 0.6667 0.4555 [2 per cell]
Ga 0.3333 0.6667 0.6035 [2 per cell]
Ga 0.3333 0.6667 0.8647 [2 per cell]

***

Diffraction record for Mg6MnAl. The XRD peak list is calculated, not measured: it uses a cell relaxed with GGA-PBE and copper Kα.
Kinematic intensities with the Lorentz-polarization factor, no thermal factor.

Most intense lines, 2θ = 10–80°, in order of falling intensity:
2θ (°)  intensity  h k l
38.6  100.0  1 2 2
38.2  55.1  1 0 4
36.1  41.3  2 0 0
33.9  27.6  0 2 2
72.2  19.0  2 2 6
66.5  18.3  3 2 2
50.4  17.1  2 2 2
60.2  17.0  0 2 6
74.3  13.8  1 4 4
33.5  11.6  0 0 4

Structural model:
Lattice parameters (Å, degrees): 4.9784 6.0751 10.6955 90.00 90.00 90.00
Space group Amm2 (No. 38)
One atom of each set of equivalent atoms:
Mg 0.0000 0.0000 0.0000 [2 per cell]
Mg 0.0000 0.0000 0.4978 [2 per cell]
Mg 0.0000 0.2455 0.2556 [4 per cell]
Mg 0.5000 0.2504 0.0884 [4 per cell]
Mn 0.5000 0.0000 0.3393 [2 per cell]
Al 0.5000 0.0000 0.8393 [2 per cell]

***

Diffraction record for LuInRh2. The XRD peak list is calculated, not measured: it uses a cell relaxed with GGA-PBE and copper Kα.
Kinematic intensities with the Lorentz-polarization factor, no thermal factor.

Most intense lines, 2θ = 10–80°, in order of falling intensity:
2θ (°)  intensity  h k l
38.8  100.0  2 2 0
70.3  34.1  4 2 2
56.1  16.9  4 0 0
27.2  3.0  2 0 0
23.5  3.0  1 1 1
45.9  1.7  3 1 1
63.4  1.2  4 2 0
48.0  0.9  2 2 2
61.6  0.7  3 3 1
75.2  0.6  5 1 1

Structural model:
Lattice parameters (Å, degrees): 6.5619 6.5619 6.5619 90.00 90.00 90.00
Space group Fm-3m (No. 225)
One atom of each set of equivalent atoms:
Lu 0.0000 0.0000 0.0000 [4 per cell]
In 0.0000 0.0000 0.5000 [4 per cell]
Rh 0.2500 0.2500 0.2500 [8 per cell]